Structure and computed powder XRD pattern of Ti4In4Fe (DFT lattice parameters and positions (GGA-PBE); a wavelength of 1.5418 Å).
Intensities are scaled so that the largest is 100.

Atomic structure:
Cell: 6.7398 6.7398 6.7398 Å, 95.43 95.43 144.17°
Fractional positions:
Ti1 0.1571 0.1571 0.3142
Ti2 0.1571 0.8429 0.0000
Ti3 0.8429 0.1571 0.0000
Ti4 0.8429 0.8429 0.6858
In1 0.1865 0.5000 0.6865
In2 0.5000 0.1865 0.6865
In3 0.5000 0.8135 0.3135
In4 0.8135 0.5000 0.3135
Fe1 0.5000 0.5000 0.0000

Most intense lines, 2θ = 5–70°, sorted by position:
d [Å], 2theta, I (rel.)
3.771, 23.59, 6
3.207, 27.82, 12
2.899, 30.84, 16
2.443, 36.79, 100
2.138, 42.28, 32
2.073, 43.66, 16
1.741, 52.57, 4
1.560, 59.22, 9
1.512, 61.33, 9
1.488, 62.40, 19